For Cu3Hg2Te6O16, the GGA-PBE geometry in Alexandria gives the calculated PXRD pattern in this record (Cu Kα (weighted mean of Kα1 and Kα2)).

Most intense lines, 10 to 80 degrees two-theta, by angle:
- 20.2°, I = 22
- 25.3°, I = 29
- 27.0°, I = 18
- 27.3°, I = 100
- 28.6°, I = 29
- 30.7°, I = 28
- 37.0°, I = 21
- 43.9°, I = 22
- 45.2°, I = 19
- 48.6°, I = 20
- 52.5°, I = 21
- 54.4°, I = 19

Lattice parameters (Å, degrees): 8.813 8.813 11.654 90.00 90.00 90.00
Space group P42_12 (No. 90)
Inequivalent atoms, fractional coordinates:
Cu1 0.000 0.500 0.057
Cu2 0.000 0.500 0.322
Cu3 0.000 0.500 0.610
Hg1 0.106 0.894 0.500
Te1 0.174 0.826 0.000
Te2 0.207 0.220 0.735
O1 0.089 0.702 0.320
O2 0.110 0.744 0.835
O3 0.123 0.316 0.061
O4 0.153 0.660 0.605

For Dy6TeP3S2, the GGA-PBE geometry in Alexandria gives the calculated PXRD pattern in this record (Cu Kα (weighted mean of Kα1 and Kα2)).

Most intense lines, 10 to 80 degrees two-theta, by angle:
- 26.7°, I = 14
- 27.1°, I = 42
- 31.3°, I = 100
- 44.6°, I = 35
- 45.1°, I = 36
- 53.2°, I = 8
- 53.4°, I = 7
- 55.8°, I = 6
- 56.0°, I = 13
- 65.3°, I = 11
- 73.9°, I = 9
- 74.6°, I = 15

Lattice parameters (Å, degrees): 17.661 4.019 8.135 90.00 104.06 90.00
Space group C2/m (No. 12)
Inequivalent atoms, fractional coordinates:
Dy1 0.001 0.000 0.225
Dy2 0.165 0.500 0.088
Dy3 0.177 0.500 0.581
Te1 0.000 0.500 0.500
P1 0.000 0.500 0.000
P2 0.164 0.000 0.331
S1 0.169 0.000 0.835

For PrY8Th6, the GGA-PBE geometry in Alexandria gives the calculated PXRD pattern in this record (Cu Kα (weighted mean of Kα1 and Kα2)).

Most intense lines, 10 to 80 degrees two-theta, by angle:
- 12.4°, I = 38
- 23.5°, I = 21
- 31.0°, I = 100
- 31.2°, I = 39
- 31.4°, I = 39
- 31.8°, I = 61
- 32.1°, I = 63
- 35.0°, I = 21
- 37.3°, I = 22
- 54.6°, I = 31
- 56.2°, I = 22
- 56.4°, I = 17

Lattice parameters (Å, degrees): 8.9025 8.9025 21.4551 90.00 90.00 120.00
Space group R-3 (No. 148, hexagonal axes)
Inequivalent atoms, fractional coordinates:
Pr1 0.0000 0.0000 0.0000
Y1 0.0000 0.0000 0.4202
Y2 0.0593 0.8046 0.1341
Th1 0.0231 0.2431 0.7075